# 1
Diffraction record for Er6Tl3Pt. The X-ray diffraction stick pattern is simulated, not measured: it uses a DFT-relaxed cell (PBE, Alexandria) and Cu Kα, 1.54184 Å.

The 8 most intense peaks (15 to 90 degrees two-theta), sorted by position:
| Position (°2θ) | intensity |
| --- | --- |
| 30.34 | 74 |
| 34.75 | 100 |
| 36.60 | 28 |
| 46.79 | 22 |
| 46.85 | 14 |
| 51.37 | 11 |
| 59.55 | 13 |
| 62.36 | 12 |

Cell: 8.956 11.750 5.154 Å, 90.00 90.00 90.00°
Element x y z (fractional)
Er (0.013, 0.238, 0.000)
Er (0.157, 0.083, 0.500)
Er (0.187, 0.412, 0.500)
Er (0.313, 0.912, 0.000)
Er (0.343, 0.583, 0.000)
Er (0.487, 0.738, 0.500)
Er (0.513, 0.262, 0.500)
Er (0.657, 0.417, 0.000)
Er (0.687, 0.088, 0.000)
Er (0.813, 0.588, 0.500)
Er (0.843, 0.917, 0.500)
Er (0.987, 0.762, 0.000)
Tl (0.000, 0.500, 0.000)
Tl (0.154, 0.733, 0.500)
Tl (0.346, 0.233, 0.000)
Tl (0.500, 0.000, 0.500)
Tl (0.654, 0.767, 0.000)
Tl (0.846, 0.267, 0.500)
Pt (0.000, 0.000, 0.000)
Pt (0.500, 0.500, 0.500)

# 2
Diffraction record for Er5Tl4Pt. The X-ray diffraction stick pattern is simulated, not measured: it uses a DFT-relaxed cell (PBE, Alexandria) and Cu Kα, 1.54184 Å.

The 8 most intense peaks (15 to 90 degrees two-theta), sorted by position:
| Position (°2θ) | intensity |
| --- | --- |
| 28.08 | 64 |
| 31.00 | 100 |
| 31.55 | 67 |
| 35.90 | 44 |
| 37.99 | 34 |
| 40.27 | 25 |
| 42.73 | 42 |
| 50.18 | 31 |

Cell: 7.651 7.651 7.651 Å, 97.90 97.90 136.49°
Element x y z (fractional)
Er (0.000, 0.000, 0.000)
Er (0.273, 0.640, 0.913)
Er (0.360, 0.273, 0.632)
Er (0.640, 0.727, 0.368)
Er (0.727, 0.360, 0.087)
Tl (0.041, 0.339, 0.379)
Tl (0.339, 0.959, 0.298)
Tl (0.661, 0.041, 0.702)
Tl (0.959, 0.661, 0.621)
Pt (0.500, 0.500, 0.000)

# 3
Diffraction record for ErTmPt. The X-ray diffraction stick pattern is simulated, not measured: it uses a DFT-relaxed cell (PBE, Alexandria) and Cu Kα, 1.54184 Å.

The 8 most intense peaks (15 to 90 degrees two-theta), sorted by position:
| Position (°2θ) | intensity |
| --- | --- |
| 22.66 | 32 |
| 26.22 | 9 |
| 37.42 | 100 |
| 44.17 | 13 |
| 53.95 | 18 |
| 67.37 | 9 |
| 67.54 | 27 |
| 79.71 | 6 |

Cell: 8.340 8.340 8.340 Å, 33.47 33.47 33.47°
Element x y z (fractional)
Er (0.125, 0.125, 0.125)
Er (0.875, 0.875, 0.875)
Tm (0.375, 0.375, 0.375)
Tm (0.625, 0.625, 0.625)
Pt (0.250, 0.250, 0.250)
Pt (0.750, 0.750, 0.750)